[1]
# LiCrP2O7
Calculated powder diffraction line list, copper Kα. Input: DFT lattice parameters and positions (PBE+U).
Intensities are scaled so that the largest is 100.

Crystal structure
```
data_LiCrP2O7
_cell_length_a 5.2761
_cell_length_b 5.2761
_cell_length_c 9.0140
_cell_angle_alpha 97.64
_cell_angle_beta 97.64
_cell_angle_gamma 104.11
_space_group_name_H-M_alt 'P 1'
_space_group_IT_number 1
loop_
_space_group_symop_operation_xyz
'x,y,z'
loop_
_atom_site_label
_atom_site_type_symbol
_atom_site_fract_x
_atom_site_fract_y
_atom_site_fract_z
_atom_site_occupancy
Li1 Li 0.1977 0.8023 0.5000 1
Li2 Li 0.8023 0.1977 0.0000 1
Cr1 Cr 0.1800 0.8278 0.9984 1
Cr2 Cr 0.8278 0.1800 0.4984 1
P1 P 0.2783 0.2892 0.7953 1
P2 P 0.2892 0.2783 0.2953 1
P3 P 0.7170 0.7307 0.2010 1
P4 P 0.7307 0.7170 0.7010 1
O1 O 0.1133 0.4048 0.3885 1
O2 O 0.1210 0.1272 0.6416 1
O3 O 0.1272 0.1210 0.1416 1
O4 O 0.1318 0.4536 0.8872 1
O5 O 0.4048 0.1133 0.8885 1
O6 O 0.4536 0.1318 0.3872 1
O7 O 0.4977 0.5072 0.2466 1
O8 O 0.5072 0.4977 0.7466 1
O9 O 0.5579 0.8827 0.1093 1
O10 O 0.6000 0.8903 0.6080 1
O11 O 0.8786 0.8838 0.3557 1
O12 O 0.8827 0.5579 0.6093 1
O13 O 0.8838 0.8786 0.8557 1
O14 O 0.8903 0.6000 0.1080 1
```

Top 10 peaks for 2θ = 10–80°, by angle:
2θ (°)	d/Å	Rel. int.
18.72	4.740	62
21.35	4.161	26
21.78	4.081	32
23.65	3.762	23
29.15	3.064	69
29.55	3.023	100
31.02	2.883	64
42.60	2.122	17
44.76	2.025	34
57.76	1.596	27

=====

[2]
# LiCrP4O12
Calculated powder diffraction line list, copper Kα. Input: DFT lattice parameters and positions (PBE+U).
Intensities are scaled so that the largest is 100.

Crystal structure
```
data_LiCrP4O12
_cell_length_a 10.6075
_cell_length_b 10.6075
_cell_length_c 5.2083
_cell_angle_alpha 99.29
_cell_angle_beta 99.29
_cell_angle_gamma 71.31
_space_group_name_H-M_alt 'P 1'
_space_group_IT_number 1
loop_
_space_group_symop_operation_xyz
'x,y,z'
loop_
_atom_site_label
_atom_site_type_symbol
_atom_site_fract_x
_atom_site_fract_y
_atom_site_fract_z
_atom_site_occupancy
Li1 Li 0.0931 0.0931 0.0240 1
Li2 Li 0.9069 0.9069 0.9760 1
Cr1 Cr 0.0000 0.5000 0.5000 1
Cr2 Cr 0.5000 0.0000 0.5000 1
P1 P 0.1360 0.7058 0.3319 1
P2 P 0.1943 0.4351 0.0373 1
P3 P 0.2942 0.8640 0.6681 1
P4 P 0.4351 0.1943 0.0373 1
P5 P 0.5649 0.8057 0.9627 1
P6 P 0.7058 0.1360 0.3319 1
P7 P 0.8057 0.5649 0.9627 1
P8 P 0.8640 0.2942 0.6681 1
O1 O 0.0591 0.8199 0.1837 1
O2 O 0.0647 0.6578 0.5079 1
O3 O 0.1019 0.4040 0.1941 1
O4 O 0.1629 0.4171 0.7444 1
O5 O 0.1801 0.9409 0.8163 1
O6 O 0.2114 0.5795 0.1332 1
O7 O 0.2685 0.7315 0.5000 1
O8 O 0.3422 0.9353 0.4921 1
O9 O 0.3454 0.3454 0.1125 1
O10 O 0.4040 0.1019 0.1941 1
O11 O 0.4171 0.1629 0.7444 1
O12 O 0.4205 0.7886 0.8668 1
O13 O 0.5795 0.2114 0.1332 1
O14 O 0.5829 0.8371 0.2556 1
O15 O 0.5960 0.8981 0.8059 1
O16 O 0.6546 0.6546 0.8875 1
O17 O 0.6578 0.0647 0.5079 1
O18 O 0.7315 0.2685 0.5000 1
O19 O 0.7886 0.4205 0.8668 1
O20 O 0.8199 0.0591 0.1837 1
O21 O 0.8371 0.5829 0.2556 1
O22 O 0.8981 0.5960 0.8059 1
O23 O 0.9353 0.3422 0.4921 1
O24 O 0.9409 0.1801 0.8163 1
```

Top 10 peaks for 2θ = 10–80°, by angle:
2θ (°)	d/Å	Rel. int.
10.47	8.447	55
14.32	6.183	100
17.30	5.125	34
18.44	4.812	26
22.59	3.936	42
24.54	3.627	22
26.79	3.328	16
27.36	3.259	10
28.53	3.129	10
33.88	2.646	32

=====

[3]
# LiCrP4O12
Calculated powder diffraction line list, copper Kα. Input: DFT lattice parameters and positions (PBE+U).
Intensities are scaled so that the largest is 100.

Crystal structure
```
data_LiCrP4O12
_cell_length_a 8.5158
_cell_length_b 8.5158
_cell_length_c 7.7483
_cell_angle_alpha 97.99
_cell_angle_beta 97.99
_cell_angle_gamma 112.80
_space_group_name_H-M_alt 'P 1'
_space_group_IT_number 1
loop_
_space_group_symop_operation_xyz
'x,y,z'
loop_
_atom_site_label
_atom_site_type_symbol
_atom_site_fract_x
_atom_site_fract_y
_atom_site_fract_z
_atom_site_occupancy
Li1 Li 0.1554 0.8446 0.5000 1
Li2 Li 0.8446 0.1554 0.0000 1
Cr1 Cr 0.5347 0.7884 0.9679 1
Cr2 Cr 0.7884 0.5347 0.4679 1
P1 P 0.0828 0.4250 0.3813 1
P2 P 0.2500 0.8947 0.1219 1
P3 P 0.4250 0.0828 0.8813 1
P4 P 0.4606 0.6203 0.5442 1
P5 P 0.6203 0.4606 0.0442 1
P6 P 0.7224 0.8764 0.3901 1
P7 P 0.8764 0.7224 0.8901 1
P8 P 0.8947 0.2500 0.6219 1
O1 O 0.0255 0.5752 0.4145 1
O2 O 0.0472 0.8400 0.0334 1
O3 O 0.0756 0.3425 0.5583 1
O4 O 0.2663 0.9290 0.3169 1
O5 O 0.2890 0.5141 0.3921 1
O6 O 0.2886 0.9977 0.7174 1
O7 O 0.3080 0.7629 0.0303 1
O8 O 0.3425 0.0756 0.0583 1
O9 O 0.4087 0.6680 0.7147 1
O10 O 0.5141 0.2890 0.8921 1
O11 O 0.5174 0.5699 0.0443 1
O12 O 0.5507 0.7938 0.4695 1
O13 O 0.5699 0.5174 0.5443 1
O14 O 0.5752 0.0255 0.9145 1
O15 O 0.6680 0.4087 0.2147 1
O16 O 0.6723 0.9217 0.2159 1
O17 O 0.7613 0.8209 0.8913 1
O18 O 0.7629 0.3080 0.5303 1
O19 O 0.7938 0.5507 0.9695 1
O20 O 0.8209 0.7613 0.3913 1
O21 O 0.8400 0.0472 0.5334 1
O22 O 0.9217 0.6723 0.7159 1
O23 O 0.9290 0.2663 0.8169 1
O24 O 0.9977 0.2886 0.2174 1
```

Top 10 peaks for 2θ = 10–80°, by angle:
2θ (°)	d/Å	Rel. int.
11.53	7.673	100
14.67	6.039	34
17.21	5.153	28
18.20	4.873	48
19.46	4.561	26
23.72	3.751	82
25.11	3.547	41
28.62	3.119	20
34.58	2.594	39
38.17	2.358	17

=====

[4]
# LiCrPO4
Calculated powder diffraction line list, copper Kα. Input: DFT lattice parameters and positions (PBE+U).
Intensities are scaled so that the largest is 100.

Crystal structure
```
data_LiCrPO4
_cell_length_a 5.6371
_cell_length_b 5.9678
_cell_length_c 10.0096
_cell_angle_alpha 95.37
_cell_angle_beta 94.55
_cell_angle_gamma 90.22
_space_group_name_H-M_alt 'P 1'
_space_group_IT_number 1
loop_
_space_group_symop_operation_xyz
'x,y,z'
loop_
_atom_site_label
_atom_site_type_symbol
_atom_site_fract_x
_atom_site_fract_y
_atom_site_fract_z
_atom_site_occupancy
Li1 Li 0.1788 0.1543 0.2499 1
Li2 Li 0.3122 0.0049 0.6476 1
Li3 Li 0.6878 0.9951 0.3524 1
Li4 Li 0.8212 0.8457 0.7501 1
Cr1 Cr 0.3486 0.7523 0.9842 1
Cr2 Cr 0.3556 0.4743 0.6752 1
Cr3 Cr 0.6444 0.5257 0.3248 1
Cr4 Cr 0.6514 0.2477 0.0158 1
P1 P 0.1889 0.1937 0.9225 1
P2 P 0.1996 0.7063 0.3970 1
P3 P 0.8004 0.2937 0.6030 1
P4 P 0.8111 0.8063 0.0775 1
O1 O 0.0549 0.7039 0.0775 1
O2 O 0.0724 0.2626 0.6326 1
O3 O 0.1866 0.9566 0.8389 1
O4 O 0.2535 0.7128 0.5535 1
O5 O 0.2812 0.4732 0.3315 1
O6 O 0.3119 0.1622 0.0662 1
O7 O 0.3405 0.9014 0.3475 1
O8 O 0.3771 0.3569 0.8690 1
O9 O 0.6229 0.6431 0.1310 1
O10 O 0.6595 0.0986 0.6525 1
O11 O 0.6881 0.8378 0.9338 1
O12 O 0.7188 0.5268 0.6685 1
O13 O 0.7465 0.2872 0.4465 1
O14 O 0.8134 0.0434 0.1611 1
O15 O 0.9276 0.7374 0.3674 1
O16 O 0.9451 0.2961 0.9225 1
```

Top 10 peaks for 2θ = 10–80°, by angle:
2θ (°)	d/Å	Rel. int.
18.10	4.900	100
21.89	4.060	30
26.93	3.311	70
28.29	3.154	32
29.62	3.016	34
31.85	2.809	35
32.26	2.775	27
33.67	2.662	29
35.64	2.519	44
36.68	2.450	39

=====

[5]
# LiCrPO4
Calculated powder diffraction line list, copper Kα. Input: DFT lattice parameters and positions (PBE+U).
Intensities are scaled so that the largest is 100.

Crystal structure
```
data_LiCrPO4
_cell_length_a 5.1664
_cell_length_b 5.1822
_cell_length_c 7.0243
_cell_angle_alpha 94.84
_cell_angle_beta 94.63
_cell_angle_gamma 117.55
_space_group_name_H-M_alt 'P 1'
_space_group_IT_number 1
loop_
_space_group_symop_operation_xyz
'x,y,z'
loop_
_atom_site_label
_atom_site_type_symbol
_atom_site_fract_x
_atom_site_fract_y
_atom_site_fract_z
_atom_site_occupancy
Li1 Li 0.0000 0.0000 0.0000 1
Li2 Li 0.4121 0.6885 0.5554 1
Cr1 Cr 0.7703 0.4498 0.7810 1
Cr2 Cr 0.8151 0.4780 0.2683 1
P1 P 0.0342 0.1147 0.5611 1
P2 P 0.4499 0.7541 0.0857 1
O1 O 0.1934 0.6937 0.9278 1
O2 O 0.3346 0.6487 0.2732 1
O3 O 0.3679 0.2945 0.6295 1
O4 O 0.6258 0.5833 0.0239 1
O5 O 0.6787 0.0846 0.1004 1
O6 O 0.8506 0.9438 0.7154 1
O7 O 0.9324 0.3572 0.5289 1
O8 O 0.9793 0.9111 0.3757 1
```

Top 10 peaks for 2θ = 10–80°, by angle:
2θ (°)	d/Å	Rel. int.
19.54	4.543	100
21.86	4.065	72
23.86	3.729	33
24.85	3.583	56
30.21	2.958	77
32.81	2.729	64
33.85	2.648	31
34.80	2.578	74
50.98	1.791	27
62.71	1.482	24

=====

[6]
# Li3CrP2O8
Calculated powder diffraction line list, copper Kα. Input: DFT lattice parameters and positions (PBE+U).
Intensities are scaled so that the largest is 100.

Crystal structure
```
data_Li3CrP2O8
_cell_length_a 4.9202
_cell_length_b 8.7345
_cell_length_c 7.8463
_cell_angle_alpha 90.00
_cell_angle_beta 124.18
_cell_angle_gamma 90.00
_space_group_name_H-M_alt 'P 1'
_space_group_IT_number 1
loop_
_space_group_symop_operation_xyz
'x,y,z'
loop_
_atom_site_label
_atom_site_type_symbol
_atom_site_fract_x
_atom_site_fract_y
_atom_site_fract_z
_atom_site_occupancy
Li1 Li 0.0000 0.0000 0.0000 1
Li2 Li 0.0000 0.5000 0.5000 1
Li3 Li 0.3259 0.1388 0.8133 1
Li4 Li 0.3259 0.3612 0.3133 1
Li5 Li 0.6741 0.6388 0.6867 1
Li6 Li 0.6741 0.8612 0.1867 1
Cr1 Cr 0.5000 0.0000 0.5000 1
Cr2 Cr 0.5000 0.5000 0.0000 1
P1 P 0.1934 0.6816 0.2207 1
P2 P 0.1934 0.8184 0.7207 1
P3 P 0.8066 0.1816 0.2793 1
P4 P 0.8066 0.3184 0.7793 1
O1 O 0.1460 0.1358 0.4768 1
O2 O 0.1460 0.3642 0.9768 1
O3 O 0.1819 0.6407 0.7499 1
O4 O 0.1819 0.8593 0.2499 1
O5 O 0.2553 0.5962 0.4078 1
O6 O 0.2553 0.9038 0.9078 1
O7 O 0.4744 0.6455 0.1894 1
O8 O 0.4744 0.8545 0.6894 1
O9 O 0.5256 0.1455 0.3106 1
O10 O 0.5256 0.3545 0.8106 1
O11 O 0.7447 0.0962 0.0922 1
O12 O 0.7447 0.4038 0.5922 1
O13 O 0.8181 0.1407 0.7501 1
O14 O 0.8181 0.3593 0.2501 1
O15 O 0.8540 0.6358 0.0232 1
O16 O 0.8540 0.8642 0.5232 1
```

Top 10 peaks for 2θ = 10–80°, by angle:
2θ (°)	d/Å	Rel. int.
17.02	5.210	100
24.12	3.689	73
24.57	3.623	41
25.72	3.464	63
30.01	2.978	26
31.33	2.855	28
33.50	2.675	30
34.43	2.605	61
35.87	2.504	55
38.11	2.361	29

=====

[7]
# LiCrPO4
Calculated powder diffraction line list, copper Kα. Input: DFT lattice parameters and positions (PBE+U).
Intensities are scaled so that the largest is 100.

Crystal structure
```
data_LiCrPO4
_cell_length_a 8.2797
_cell_length_b 16.8423
_cell_length_c 5.0341
_cell_angle_alpha 90.00
_cell_angle_beta 90.00
_cell_angle_gamma 90.00
_space_group_name_H-M_alt 'P 1'
_space_group_IT_number 1
loop_
_space_group_symop_operation_xyz
'x,y,z'
loop_
_atom_site_label
_atom_site_type_symbol
_atom_site_fract_x
_atom_site_fract_y
_atom_site_fract_z
_atom_site_occupancy
Li1 Li 0.0351 0.0513 0.0000 1
Li2 Li 0.1311 0.6388 0.5199 1
Li3 Li 0.3689 0.1388 0.0199 1
Li4 Li 0.4649 0.5513 0.5000 1
Li5 Li 0.5351 0.4487 0.0000 1
Li6 Li 0.6311 0.8612 0.5199 1
Li7 Li 0.8689 0.3612 0.0199 1
Li8 Li 0.9649 0.9487 0.5000 1
Cr1 Cr 0.1471 0.4469 0.5285 1
Cr2 Cr 0.1502 0.2510 0.5735 1
Cr3 Cr 0.3498 0.7510 0.0735 1
Cr4 Cr 0.3529 0.9469 0.0285 1
Cr5 Cr 0.6471 0.0531 0.5285 1
Cr6 Cr 0.6502 0.2490 0.5735 1
Cr7 Cr 0.8498 0.7490 0.0735 1
Cr8 Cr 0.8529 0.5531 0.0285 1
P1 P 0.2381 0.3254 0.0013 1
P2 P 0.2468 0.0656 0.4917 1
P3 P 0.2532 0.5656 0.9917 1
P4 P 0.2619 0.8254 0.5013 1
P5 P 0.7381 0.1746 0.0013 1
P6 P 0.7468 0.4344 0.4917 1
P7 P 0.7532 0.9344 0.9917 1
P8 P 0.7619 0.6746 0.5013 1
O1 O 0.0856 0.0385 0.3778 1
O2 O 0.0969 0.3534 0.8016 1
O3 O 0.1034 0.8636 0.4341 1
O4 O 0.1088 0.5267 0.8344 1
O5 O 0.1739 0.3426 0.2877 1
O6 O 0.2275 0.6561 0.9444 1
O7 O 0.2380 0.2340 0.9525 1
O8 O 0.2379 0.5457 0.2969 1
O9 O 0.2621 0.0457 0.7969 1
O10 O 0.2620 0.7340 0.4525 1
O11 O 0.2725 0.1561 0.4444 1
O12 O 0.3261 0.8426 0.7877 1
O13 O 0.3912 0.0267 0.3344 1
O14 O 0.3966 0.3636 0.9341 1
O15 O 0.4031 0.8534 0.3016 1
O16 O 0.4144 0.5385 0.8778 1
O17 O 0.5856 0.4615 0.3778 1
O18 O 0.5969 0.1466 0.8016 1
O19 O 0.6034 0.6364 0.4341 1
O20 O 0.6088 0.9733 0.8344 1
O21 O 0.6739 0.1574 0.2877 1
O22 O 0.7275 0.8439 0.9444 1
O23 O 0.7380 0.2660 0.9525 1
O24 O 0.7379 0.9543 0.2969 1
O25 O 0.7621 0.4543 0.7969 1
O26 O 0.7620 0.7660 0.4525 1
O27 O 0.7725 0.3439 0.4444 1
O28 O 0.8261 0.6574 0.7877 1
O29 O 0.8912 0.4733 0.3344 1
O30 O 0.8966 0.1364 0.9341 1
O31 O 0.9031 0.6466 0.3016 1
O32 O 0.9144 0.9615 0.8778 1
```

Top 10 peaks for 2θ = 10–80°, by angle:
2θ (°)	d/Å	Rel. int.
11.91	7.430	53
21.46	4.140	100
22.11	4.020	71
23.72	3.751	44
26.10	3.414	39
27.90	3.198	73
31.97	2.800	97
34.32	2.613	33
35.67	2.517	32
50.33	1.813	42

=====

[8]
# Li2CrP2O8
Calculated powder diffraction line list, copper Kα. Input: DFT lattice parameters and positions (PBE+U).
Intensities are scaled so that the largest is 100.

Crystal structure
```
data_Li2CrP2O8
_cell_length_a 5.0544
_cell_length_b 5.0544
_cell_length_c 15.5538
_cell_angle_alpha 97.47
_cell_angle_beta 97.47
_cell_angle_gamma 56.29
_space_group_name_H-M_alt 'P 1'
_space_group_IT_number 1
loop_
_space_group_symop_operation_xyz
'x,y,z'
loop_
_atom_site_label
_atom_site_type_symbol
_atom_site_fract_x
_atom_site_fract_y
_atom_site_fract_z
_atom_site_occupancy
Li1 Li 0.1733 0.8267 0.5000 1
Li2 Li 0.4005 0.9534 0.8813 1
Li3 Li 0.8267 0.1733 0.0000 1
Li4 Li 0.9534 0.4005 0.3813 1
Cr1 Cr 0.4206 0.8379 0.6919 1
Cr2 Cr 0.8379 0.4206 0.1919 1
P1 P 0.0882 0.4705 0.5880 1
P2 P 0.2114 0.7547 0.2953 1
P3 P 0.4705 0.0882 0.0880 1
P4 P 0.7547 0.2114 0.7953 1
O1 O 0.0607 0.9901 0.2223 1
O2 O 0.1040 0.2479 0.0904 1
O3 O 0.1161 0.5070 0.2792 1
O4 O 0.1301 0.9332 0.3845 1
O5 O 0.2479 0.1040 0.5904 1
O6 O 0.3499 0.5453 0.6128 1
O7 O 0.5070 0.1161 0.7792 1
O8 O 0.5453 0.3499 0.1128 1
O9 O 0.5595 0.5836 0.7908 1
O10 O 0.5792 0.9501 0.9970 1
O11 O 0.5836 0.5595 0.2908 1
O12 O 0.6368 0.8361 0.1572 1
O13 O 0.8361 0.6368 0.6572 1
O14 O 0.9332 0.1301 0.8845 1
O15 O 0.9501 0.5792 0.4970 1
O16 O 0.9901 0.0607 0.7223 1
```

Top 10 peaks for 2θ = 10–80°, by angle:
2θ (°)	d/Å	Rel. int.
11.50	7.692	100
20.15	4.408	9
21.57	4.121	39
22.36	3.976	7
23.43	3.796	6
24.72	3.602	31
26.49	3.364	44
34.94	2.568	6
35.63	2.520	19
39.90	2.259	8